Simulated powder X-ray diffraction pattern of Na3TiF6 for Cu Kα, 1.54184 Å, from a crystal structure in the Materials Project, relaxed with PBE.
Neutral-atom scattering factors, no anomalous dispersion.

Structure:
a = 5.726 Å, b = 5.874 Å, c = 9.860 Å
α = 90.00°, β = 124.74°, γ = 90.00°
Sites, in units of the cell vectors:
Na1 0.000 0.000 0.000
Na2 0.000 0.500 0.500
Na3 0.235 0.051 0.748
Na4 0.235 0.449 0.248
Na5 0.765 0.551 0.752
Na6 0.765 0.949 0.252
Ti1 0.500 0.000 0.500
Ti2 0.500 0.500 0.000
F1 0.166 0.179 0.454
F2 0.166 0.321 0.954
F3 0.255 0.716 0.432
F4 0.255 0.784 0.932
F5 0.384 0.047 0.271
F6 0.384 0.453 0.771
F7 0.616 0.547 0.229
F8 0.616 0.953 0.729
F9 0.745 0.216 0.068
F10 0.745 0.284 0.568
F11 0.834 0.679 0.046
F12 0.834 0.821 0.546

Principal peaks in the range 2θ = 10–90°, sorted by position:
- 2θ 18.66, 4.756 Å, I 62.9
- 2θ 21.68, 4.100 Å, I 66.6
- 2θ 30.44, 2.937 Å, I 40.9
- 2θ 30.88, 2.895 Å, I 87.6
- 2θ 31.20, 2.867 Å, I 98.4
- 2θ 36.54, 2.459 Å, I 46.9
- 2θ 44.18, 2.050 Å, I 100.0
- 2θ 44.74, 2.026 Å, I 52.3
- 2θ 55.19, 1.664 Å, I 57.3
- 2θ 55.76, 1.649 Å, I 34.8

***

Simulated powder X-ray diffraction pattern of Na3TiF6 for Cu Kα, 1.54184 Å, from a crystal structure in the Materials Project, relaxed with PBE.
Neutral-atom scattering factors, no anomalous dispersion.

Structure:
a = 5.891 Å, b = 5.891 Å, c = 5.891 Å
α = 60.00°, β = 60.00°, γ = 60.00°
Sites, in units of the cell vectors:
Na1 0.000 0.000 0.000
Na2 0.250 0.250 0.250
Na3 0.750 0.750 0.750
Ti1 0.500 0.500 0.500
F1 0.263 0.263 0.737
F2 0.263 0.737 0.263
F3 0.263 0.737 0.737
F4 0.737 0.263 0.263
F5 0.737 0.263 0.737
F6 0.737 0.737 0.263

Principal peaks in the range 2θ = 10–90°, sorted by position:
- 2θ 18.45, 4.810 Å, I 28.8
- 2θ 21.33, 4.165 Å, I 55.7
- 2θ 30.35, 2.945 Å, I 69.8
- 2θ 37.39, 2.405 Å, I 33.7
- 2θ 43.45, 2.083 Å, I 100.0
- 2θ 48.89, 1.863 Å, I 17.0
- 2θ 53.92, 1.700 Å, I 25.6
- 2θ 63.13, 1.473 Å, I 52.2
- 2θ 79.75, 1.202 Å, I 14.8
- 2θ 87.66, 1.113 Å, I 12.3

***

Simulated powder X-ray diffraction pattern of NaZr2TiF11 for Cu Kα, 1.54184 Å, from a crystal structure in the Materials Project, relaxed with PBE.
Neutral-atom scattering factors, no anomalous dispersion.

Structure:
a = 5.778 Å, b = 5.778 Å, c = 7.932 Å
α = 110.70°, β = 110.70°, γ = 73.09°
Sites, in units of the cell vectors:
Na1 0.000 0.000 0.000
Zr1 0.496 0.496 0.765
Zr2 0.504 0.504 0.235
Ti1 0.000 0.000 0.500
F1 0.191 0.780 0.690
F2 0.220 0.809 0.310
F3 0.244 0.244 0.641
F4 0.266 0.266 0.111
F5 0.329 0.671 0.000
F6 0.500 0.500 0.500
F7 0.671 0.329 0.000
F8 0.734 0.734 0.889
F9 0.756 0.756 0.359
F10 0.780 0.191 0.690
F11 0.809 0.220 0.310

Principal peaks in the range 2θ = 10–90°, sorted by position:
- 2θ 16.70, 5.307 Å, I 45.7
- 2θ 21.31, 4.169 Å, I 74.8
- 2θ 25.92, 3.437 Å, I 100.0
- 2θ 43.42, 2.084 Å, I 30.8
- 2θ 45.71, 1.985 Å, I 40.6
- 2θ 50.76, 1.799 Å, I 13.1
- 2θ 51.25, 1.783 Å, I 15.4
- 2θ 51.56, 1.773 Å, I 10.1
- 2θ 53.33, 1.718 Å, I 9.2
- 2θ 65.11, 1.433 Å, I 8.8

***

Simulated powder X-ray diffraction pattern of NaTl3F6 for Cu Kα, 1.54184 Å, from a crystal structure in the Materials Project, relaxed with PBE.
Neutral-atom scattering factors, no anomalous dispersion.

Structure:
a = 6.339 Å, b = 6.339 Å, c = 6.339 Å
α = 60.00°, β = 60.00°, γ = 60.00°
Sites, in units of the cell vectors:
Na1 0.000 0.000 0.000
Tl1 0.250 0.250 0.250
Tl2 0.500 0.500 0.500
Tl3 0.750 0.750 0.750
F1 0.255 0.255 0.745
F2 0.255 0.745 0.255
F3 0.255 0.745 0.745
F4 0.745 0.255 0.255
F5 0.745 0.255 0.745
F6 0.745 0.745 0.255

Principal peaks in the range 2θ = 10–90°, sorted by position:
- 2θ 17.13, 5.176 Å, I 20.3
- 2θ 28.15, 3.170 Å, I 100.0
- 2θ 33.14, 2.703 Å, I 11.7
- 2θ 34.66, 2.588 Å, I 10.0
- 2θ 40.24, 2.241 Å, I 31.4
- 2θ 49.83, 1.830 Å, I 43.4
- 2θ 58.22, 1.585 Å, I 20.6
- 2θ 65.90, 1.417 Å, I 19.2
- 2θ 73.14, 1.294 Å, I 6.8
- 2θ 80.11, 1.198 Å, I 22.6

***

Simulated powder X-ray diffraction pattern of Na3TlF6 for Cu Kα, 1.54184 Å, from a crystal structure in the Materials Project, relaxed with PBE.
Neutral-atom scattering factors, no anomalous dispersion.

Structure:
a = 6.189 Å, b = 6.189 Å, c = 6.189 Å
α = 60.00°, β = 60.00°, γ = 60.00°
Sites, in units of the cell vectors:
Na1 0.000 0.000 0.000
Na2 0.250 0.250 0.250
Na3 0.750 0.750 0.750
Tl1 0.500 0.500 0.500
F1 0.252 0.252 0.748
F2 0.252 0.748 0.252
F3 0.252 0.748 0.748
F4 0.748 0.252 0.252
F5 0.748 0.252 0.748
F6 0.748 0.748 0.252

Principal peaks in the range 2θ = 10–90°, sorted by position:
- 2θ 17.55, 5.053 Å, I 100.0
- 2θ 20.29, 4.376 Å, I 82.3
- 2θ 28.85, 3.094 Å, I 80.7
- 2θ 33.97, 2.639 Å, I 59.3
- 2θ 41.26, 2.188 Å, I 42.9
- 2θ 45.16, 2.008 Å, I 27.0
- 2θ 46.40, 1.957 Å, I 37.3
- 2θ 51.13, 1.787 Å, I 34.5
- 2θ 54.48, 1.684 Å, I 21.9
- 2θ 59.77, 1.547 Å, I 26.2

***

Simulated powder X-ray diffraction pattern of Na2UF6 for Cu Kα, 1.54184 Å, from a crystal structure in the Materials Project, relaxed with PBE.
Neutral-atom scattering factors, no anomalous dispersion.

Structure:
a = 6.076 Å, b = 6.076 Å, c = 3.735 Å
α = 90.00°, β = 90.00°, γ = 120.00°
Sites, in units of the cell vectors:
Na1 0.333 0.667 0.421
Na2 0.667 0.333 0.579
U1 0.000 0.000 0.000
F1 0.000 0.249 0.500
F2 0.000 0.629 0.000
F3 0.249 0.000 0.500
F4 0.371 0.371 0.000
F5 0.629 0.000 0.000
F6 0.751 0.751 0.500

Principal peaks in the range 2θ = 10–90°, sorted by position:
- 2θ 16.85, 5.262 Å, I 100.0
- 2θ 23.83, 3.735 Å, I 10.8
- 2θ 29.35, 3.043 Å, I 87.3
- 2θ 34.08, 2.631 Å, I 16.0
- 2θ 38.19, 2.357 Å, I 22.5
- 2θ 42.01, 2.151 Å, I 36.7
- 2θ 45.61, 1.989 Å, I 13.4
- 2θ 51.96, 1.760 Å, I 12.9
- 2θ 52.11, 1.755 Å, I 48.6
- 2θ 84.32, 1.149 Å, I 15.1

***

Simulated powder X-ray diffraction pattern of NaU2F9 for Cu Kα, 1.54184 Å, from a crystal structure in the Materials Project, relaxed with PBE.
Neutral-atom scattering factors, no anomalous dispersion.

Structure:
a = 6.726 Å, b = 6.726 Å, c = 8.692 Å
α = 101.20°, β = 101.20°, γ = 62.91°
Sites, in units of the cell vectors:
Na1 0.105 0.895 0.500
Na2 0.895 0.105 0.000
U1 0.228 0.412 0.089
U2 0.412 0.228 0.589
U3 0.630 0.816 0.213
U4 0.816 0.630 0.713
F1 0.049 0.707 0.932
F2 0.050 0.272 0.578
F3 0.143 0.608 0.635
F4 0.272 0.050 0.078
F5 0.308 0.402 0.360
F6 0.338 0.992 0.373
F7 0.402 0.308 0.860
F8 0.437 0.900 0.665
F9 0.440 0.604 0.151
F10 0.604 0.440 0.651
F11 0.608 0.143 0.135
F12 0.647 0.737 0.946
F13 0.707 0.049 0.432
F14 0.737 0.647 0.446
F15 0.773 0.997 0.728
F16 0.900 0.437 0.165
F17 0.992 0.338 0.873
F18 0.997 0.773 0.228

Principal peaks in the range 2θ = 10–90°, sorted by position:
- 2θ 15.86, 5.587 Å, I 100.0
- 2θ 17.16, 5.168 Å, I 30.8
- 2θ 20.99, 4.232 Å, I 40.4
- 2θ 24.30, 3.663 Å, I 60.5
- 2θ 27.07, 3.293 Å, I 57.2
- 2θ 27.51, 3.242 Å, I 54.2
- 2θ 29.23, 3.055 Å, I 26.9
- 2θ 30.89, 2.895 Å, I 30.1
- 2θ 33.14, 2.704 Å, I 30.8
- 2θ 45.75, 1.983 Å, I 25.5

***

Simulated powder X-ray diffraction pattern of Na3UF7 for Cu Kα, 1.54184 Å, from a crystal structure in the Materials Project, relaxed with PBE.
Neutral-atom scattering factors, no anomalous dispersion.

Structure:
a = 5.627 Å, b = 5.627 Å, c = 6.618 Å
α = 114.36°, β = 114.36°, γ = 88.76°
Sites, in units of the cell vectors:
Na1 0.000 0.000 0.000
Na2 0.278 0.742 0.553
Na3 0.742 0.278 0.553
U1 0.465 0.465 0.017
F1 0.112 0.112 0.745
F2 0.133 0.606 0.787
F3 0.355 0.355 0.267
F4 0.438 0.850 0.281
F5 0.606 0.133 0.787
F6 0.665 0.665 0.883
F7 0.850 0.438 0.281

Principal peaks in the range 2θ = 10–90°, sorted by position:
- 2θ 16.40, 5.405 Å, I 54.1
- 2θ 17.58, 5.044 Å, I 100.0
- 2θ 17.97, 4.936 Å, I 78.1
- 2θ 22.12, 4.019 Å, I 27.1
- 2θ 27.15, 3.285 Å, I 25.0
- 2θ 28.04, 3.182 Å, I 62.1
- 2θ 28.16, 3.169 Å, I 30.6
- 2θ 29.08, 3.071 Å, I 25.2
- 2θ 44.43, 2.039 Å, I 28.2
- 2θ 45.96, 1.975 Å, I 25.9

***

Simulated powder X-ray diffraction pattern of Na2UF6 for Cu Kα, 1.54184 Å, from a crystal structure in the Materials Project, relaxed with PBE.
Neutral-atom scattering factors, no anomalous dispersion.

Structure:
a = 6.655 Å, b = 6.655 Å, c = 6.655 Å
α = 144.24°, β = 130.22°, γ = 62.79°
Sites, in units of the cell vectors:
Na1 0.170 0.170 0.000
Na2 0.830 0.830 0.000
U1 0.500 0.500 0.000
F1 0.103 0.347 0.756
F2 0.275 0.000 0.275
F3 0.409 0.653 0.756
F4 0.591 0.347 0.244
F5 0.725 0.000 0.725
F6 0.897 0.653 0.244

Principal peaks in the range 2θ = 10–90°, sorted by position:
- 2θ 15.60, 5.680 Å, I 66.9
- 2θ 17.65, 5.024 Å, I 100.0
- 2θ 23.13, 3.845 Å, I 52.4
- 2θ 27.01, 3.301 Å, I 62.1
- 2θ 28.45, 3.137 Å, I 57.4
- 2θ 31.34, 2.854 Å, I 42.6
- 2θ 39.82, 2.264 Å, I 23.5
- 2θ 41.96, 2.153 Å, I 20.7
- 2θ 46.02, 1.972 Å, I 58.3
- 2θ 48.06, 1.893 Å, I 28.5

***

Simulated powder X-ray diffraction pattern of Na2UF6 for Cu Kα, 1.54184 Å, from a crystal structure in the Materials Project, relaxed with PBE.
Neutral-atom scattering factors, no anomalous dispersion.

Structure:
a = 6.160 Å, b = 6.160 Å, c = 7.256 Å
α = 90.00°, β = 90.00°, γ = 120.00°
Sites, in units of the cell vectors:
Na1 0.000 0.000 0.000
Na2 0.000 0.000 0.482
Na3 0.333 0.667 0.348
Na4 0.667 0.333 0.595
U1 0.333 0.667 0.827
U2 0.667 0.333 0.111
F1 0.083 0.398 0.077
F2 0.090 0.390 0.613
F3 0.299 0.910 0.613
F4 0.314 0.917 0.077
F5 0.379 0.283 0.320
F6 0.385 0.304 0.863
F7 0.602 0.686 0.077
F8 0.610 0.701 0.613
F9 0.696 0.082 0.863
F10 0.717 0.096 0.320
F11 0.904 0.621 0.320
F12 0.918 0.615 0.863

Principal peaks in the range 2θ = 10–90°, sorted by position:
- 2θ 12.20, 7.256 Å, I 41.0
- 2θ 16.62, 5.335 Å, I 41.3
- 2θ 20.67, 4.298 Å, I 100.0
- 2θ 28.99, 3.080 Å, I 48.7
- 2θ 29.78, 3.000 Å, I 60.0
- 2θ 31.56, 2.835 Å, I 21.6
- 2θ 35.87, 2.503 Å, I 21.6
- 2θ 42.05, 2.149 Å, I 48.4
- 2θ 46.76, 1.943 Å, I 23.9
- 2θ 51.88, 1.762 Å, I 41.3

***

Simulated powder X-ray diffraction pattern of NaUF6 for Cu Kα, 1.54184 Å, from a crystal structure in the Materials Project, relaxed with PBE.
Neutral-atom scattering factors, no anomalous dispersion.

Structure:
a = 6.259 Å, b = 6.259 Å, c = 6.259 Å
α = 60.00°, β = 60.00°, γ = 60.00°
Sites, in units of the cell vectors:
Na1 0.000 0.000 0.000
U1 0.500 0.500 0.500
F1 0.264 0.264 0.736
F2 0.264 0.736 0.264
F3 0.264 0.736 0.736
F4 0.736 0.264 0.264
F5 0.736 0.264 0.736
F6 0.736 0.736 0.264

Principal peaks in the range 2θ = 10–90°, sorted by position:
- 2θ 17.35, 5.111 Å, I 95.3
- 2θ 20.06, 4.426 Å, I 100.0
- 2θ 28.52, 3.130 Å, I 44.0
- 2θ 33.58, 2.669 Å, I 51.4
- 2θ 40.77, 2.213 Å, I 25.4
- 2θ 44.62, 2.031 Å, I 21.1
- 2θ 45.84, 1.979 Å, I 45.4
- 2θ 53.81, 1.704 Å, I 21.4
- 2θ 62.02, 1.496 Å, I 21.1
- 2θ 63.00, 1.475 Å, I 21.6

***

Simulated powder X-ray diffraction pattern of Na2UF6 for Cu Kα, 1.54184 Å, from a crystal structure in the Materials Project, relaxed with PBE.
Neutral-atom scattering factors, no anomalous dispersion.

Structure:
a = 6.783 Å, b = 6.783 Å, c = 6.951 Å
α = 99.31°, β = 99.31°, γ = 120.55°
Sites, in units of the cell vectors:
Na1 0.083 0.917 0.750
Na2 0.245 0.755 0.250
Na3 0.755 0.245 0.750
Na4 0.917 0.083 0.250
U1 0.410 0.590 0.750
U2 0.590 0.410 0.250
F1 0.070 0.234 0.629
F2 0.146 0.630 0.875
F3 0.234 0.070 0.129
F4 0.317 0.469 0.384
F5 0.370 0.854 0.625
F6 0.469 0.317 0.884
F7 0.531 0.683 0.116
F8 0.630 0.146 0.375
F9 0.683 0.531 0.616
F10 0.766 0.930 0.871
F11 0.854 0.370 0.125
F12 0.930 0.766 0.371

Principal peaks in the range 2θ = 10–90°, sorted by position:
- 2θ 15.84, 5.596 Å, I 100.0
- 2θ 17.62, 5.033 Å, I 32.1
- 2θ 20.25, 4.386 Å, I 65.6
- 2θ 27.14, 3.285 Å, I 33.7
- 2θ 27.25, 3.273 Å, I 25.7
- 2θ 27.80, 3.209 Å, I 64.2
- 2θ 28.07, 3.179 Å, I 32.2
- 2θ 45.46, 1.995 Å, I 33.4
- 2θ 46.65, 1.947 Å, I 29.8
- 2θ 54.93, 1.672 Å, I 19.1

***

Question: Number 2 is which compound?
Answer: Na3TiF6